# 1
For K3NdBr6, DFT lattice parameters and positions (PBE) gives the theoretical PXRD pattern in this record (Cu Kα (weighted mean of Kα1 and Kα2)).
No peak broadening, texture or thermal motion is included.

The 6 most intense peaks (2θ from 15° to 90°), in order of rising 2θ:
d [Å]  Position (°2θ)  I_rel
3.471  25.66  515
3.006  29.72  1000
2.689  33.32  357
2.126  42.53  715
1.736  52.74  244
1.344  69.98  299

```
K3NdBr6
1.0
0.000 6.013 6.013
6.013 0.000 6.013
6.013 6.013 0.000
K Nd Br
3 1 6
Cartesian
0.000 0.000 0.000
3.006 3.006 3.006
9.019 9.019 9.019
6.013 6.013 6.013
6.013 6.013 3.132
6.013 3.132 6.013
8.893 6.013 6.013
3.132 6.013 6.013
6.013 8.893 6.013
6.013 6.013 8.893
```

# 2
For K2RbNdBr6, DFT lattice parameters and positions (PBE) gives the theoretical PXRD pattern in this record (Cu Kα (weighted mean of Kα1 and Kα2)).
No peak broadening, texture or thermal motion is included.

The 6 most intense peaks (2θ from 15° to 90°), in order of rising 2θ:
d [Å]  Position (°2θ)  I_rel
3.543  25.13  354
3.069  29.10  1000
2.745  32.62  432
2.170  41.62  713
1.772  51.59  242
1.372  68.35  289

```
K2RbNdBr6
1.0
0.000 6.137 6.137
6.137 0.000 6.137
6.137 6.137 0.000
K Rb Nd Br
2 1 1 6
Cartesian
3.069 3.069 3.069
9.206 9.206 9.206
0.000 0.000 0.000
6.137 6.137 6.137
6.137 6.137 3.256
6.137 3.256 6.137
9.019 6.137 6.137
3.256 6.137 6.137
6.137 9.019 6.137
6.137 6.137 9.019
```